(1)
Diffraction record for TlZnSe2. The powder diffraction line list is computed, not measured: it uses the PBE geometry in Alexandria and Cu Kα, 1.54184 Å.
No peak broadening, texture or thermal motion is included.

Cell and atoms:
```
TlZnSe2
1.0
4.2363 0.0000 0.0000
0.0031 6.2152 0.0000
0.0074 0.0003 9.0438
Tl Zn Se
2 2 4
Direct
0.0000 0.0000 0.0000
0.4979 0.4999 0.7118
0.0002 0.9913 0.4634
0.5002 0.4914 0.2484
0.0002 0.2713 0.2673
0.5004 0.6875 0.0097
0.5001 0.7713 0.4445
0.9982 0.1873 0.7022
```

The 10 most intense peaks (10° ≤ 2θ ≤ 80°), in order of rising 2θ:
Position (°2θ), d/Å, I_rel
24.3, 3.657, 84
25.4, 3.500, 100
29.6, 3.015, 15
39.4, 2.284, 22
39.9, 2.261, 18
41.2, 2.192, 78
42.7, 2.118, 22
47.9, 1.899, 26
48.3, 1.883, 16
49.7, 1.833, 24


(2)
Diffraction record for ZrTl2Se3. The powder diffraction line list is computed, not measured: it uses the PBE geometry in Alexandria and Cu Kα, 1.54184 Å.
No peak broadening, texture or thermal motion is included.

Cell and atoms:
```
ZrTl2Se3
1.0
3.6434 -6.2231 0.0000
3.6434 6.2231 0.0000
-2.3221 0.0000 7.6330
Zr Tl Se
2 4 6
Direct
0.1682 0.8318 0.0000
0.8318 0.1682 0.0000
0.0000 0.0000 0.5000
0.3492 0.6508 0.5000
0.5000 0.5000 0.0000
0.6508 0.3492 0.5000
0.0464 0.4292 0.7901
0.1864 0.1864 0.1948
0.4292 0.0464 0.7901
0.5708 0.9536 0.2099
0.8136 0.8136 0.8052
0.9536 0.5708 0.2099
```

The 10 most intense peaks (10° ≤ 2θ ≤ 80°), in order of rising 2θ:
Position (°2θ), d/Å, I_rel
23.3, 3.817, 10
26.0, 3.432, 13
29.2, 3.058, 100
39.8, 2.266, 13
40.4, 2.234, 24
43.2, 2.096, 21
43.6, 2.074, 9
53.4, 1.716, 10
66.6, 1.403, 8
70.6, 1.334, 10


(3)
Diffraction record for ZrTl5Se5. The powder diffraction line list is computed, not measured: it uses the PBE geometry in Alexandria and Cu Kα, 1.54184 Å.
No peak broadening, texture or thermal motion is included.

Cell and atoms:
```
ZrTl5Se5
1.0
7.1311 -2.9943 0.0000
7.1311 2.9943 0.0000
-3.4701 0.0000 8.0723
Zr Tl Se
1 5 5
Direct
0.0000 0.0000 0.0000
0.0000 0.0000 0.5000
0.2984 0.2984 0.7004
0.3580 0.3580 0.2093
0.6420 0.6420 0.7907
0.7016 0.7016 0.2996
0.1413 0.1413 0.3081
0.1529 0.1529 0.8966
0.5000 0.5000 0.0000
0.8471 0.8471 0.1034
0.8587 0.8587 0.6919
```

The 10 most intense peaks (10° ≤ 2θ ≤ 80°), in order of rising 2θ:
Position (°2θ), d/Å, I_rel
25.2, 3.531, 100
27.5, 3.247, 65
29.8, 2.994, 98
30.3, 2.955, 71
30.7, 2.910, 41
34.9, 2.571, 32
41.0, 2.201, 45
41.3, 2.185, 31
43.0, 2.103, 61
61.2, 1.515, 29